Pr3Dy3Tl2: calculated PXRD pattern (Cu Kα X-rays), based on a DFT-relaxed cell (GGA-PBE, Alexandria).
Intensities are scaled so that the largest is 100.

Peak list (10 most intense, 2θ from 5° to 70°, in order of rising 2θ)
d [Å]	I (rel.)	h k l
3.136	57	2 0 2
2.811	65	1 1 3
2.799	62	2 1 1
2.572	33	1 0 4
2.556	100	3 0 0
1.744	15	1 2 5
1.683	19	1 1 6
1.677	19	1 3 4
1.672	37	2 3 2
1.568	26	4 0 4

Structure:
Lattice parameters (Å, degrees): 8.8449 8.8449 10.9223 90.00 90.00 120.00
Space group R32 (No. 155, hexagonal axes)
Unique sites:
Pr  0.0000  0.2575  0.0000
Dy  0.0000  0.7537  0.5000
Tl  0.0000  0.0000  0.2487



Ho3TmSc3: calculated PXRD pattern (Cu Kα X-rays), based on a DFT-relaxed cell (GGA-PBE, Alexandria).
Intensities are scaled so that the largest is 100.

Peak list (10 most intense, 2θ from 5° to 70°, in order of rising 2θ)
d [Å]	I (rel.)	h k l
4.477	14	1 0 1
3.502	14	1 1 1
3.005	28	1 2 0
2.708	24	0 0 2
2.628	100	1 2 1
2.012	18	1 2 2
1.735	19	4 1 0
1.548	20	1 2 3
1.461	21	4 1 2
1.448	16	2 4 1

Structure:
Lattice parameters (Å, degrees): 9.1810 9.1810 5.4167 90.00 90.00 120.00
Space group P6_3/m (No. 176)
Unique sites:
Ho  0.0472  0.8026  0.2500
Tm  0.3333  0.6667  0.2500
Sc  0.0956  0.6147  0.7500



Ce2PmNd3P6: calculated PXRD pattern (Cu Kα X-rays), based on a DFT-relaxed cell (GGA-PBE, Alexandria).
Intensities are scaled so that the largest is 100.

Peak list (6 most intense, 2θ from 5° to 70°, in order of rising 2θ)
d [Å]	I (rel.)	h k l
3.373	79	2 0 0
2.921	100	1 3 1
2.066	73	2 0 2
1.762	39	1 3 3
1.687	26	4 0 0
1.461	12	2 6 2

Structure:
Lattice parameters (Å, degrees): 7.155 12.392 7.157 90.00 109.46 90.00
Space group C2/m (No. 12)
Unique sites:
Ce  0.000  0.167  0.000
Pm  0.000  0.500  0.000
Nd  0.000  0.000  0.500
Nd  0.000  0.334  0.500
P  0.244  0.000  0.244
P  0.250  0.169  0.757



Rb3BeSe3: calculated PXRD pattern (Cu Kα X-rays), based on a DFT-relaxed cell (GGA-PBE, Alexandria).
Intensities are scaled so that the largest is 100.

Peak list (10 most intense, 2θ from 5° to 70°, in order of rising 2θ)
d [Å]	I (rel.)	h k l
3.478	66	1 2 -1
3.196	100	3 0 0
2.996	87	0 1 4
2.971	96	1 1 -4
2.951	87	3 1 0
2.824	56	1 2 -3
2.810	89	2 1 3
2.636	50	2 2 2
2.507	37	0 3 1
2.457	54	3 0 -4

Structure:
Lattice parameters (Å, degrees): 9.685 7.665 13.146 90.00 97.89 90.00
Space group P2_1/c (No. 14)
Unique sites:
Rb  0.059  0.155  0.130
Rb  0.320  0.681  0.799
Rb  0.378  0.212  0.926
Be  0.139  0.566  0.041
Se  0.065  0.082  0.394
Se  0.261  0.678  0.534
Se  0.338  0.029  0.641



Ac2Sb5Au4: calculated PXRD pattern (Cu Kα X-rays), based on a DFT-relaxed cell (GGA-PBE, Alexandria).
Intensities are scaled so that the largest is 100.

Peak list (10 most intense, 2θ from 5° to 70°, in order of rising 2θ)
d [Å]	I (rel.)	h k l
4.659	26	2 0 -2
3.381	26	0 2 0
3.332	19	4 0 -2
2.876	54	3 1 0
2.758	24	2 2 0
2.736	100	2 2 -2
2.447	100	1 1 2
2.330	40	4 0 -4
1.710	38	1 3 2
1.368	21	4 4 -4

Structure:
Lattice parameters (Å, degrees): 13.311 6.762 9.318 90.00 134.26 90.00
Space group C2/m (No. 12)
Unique sites:
Ac  0.000  0.000  0.244
Sb  0.000  0.500  0.000
Sb  0.226  0.253  0.726
Au  0.150  0.500  0.417
Au  0.152  0.500  0.885



Cd2AgGeSe4: calculated PXRD pattern (Cu Kα X-rays), based on a DFT-relaxed cell (GGA-PBE, Alexandria).
Intensities are scaled so that the largest is 100.

Peak list (10 most intense, 2θ from 5° to 70°, in order of rising 2θ)
d [Å]	I (rel.)	h k l
3.538	100	1 1 2
3.088	1	2 0 0
2.184	26	2 2 0
2.158	49	2 0 4
1.858	31	3 1 2
1.827	15	1 1 6
1.544	8	4 0 0
1.509	4	0 0 8
1.415	6	3 3 2
1.401	12	3 1 6

Structure:
Lattice parameters (Å, degrees): 6.177 6.177 12.069 90.00 90.00 90.00
Space group I-42m (No. 121)
Unique sites:
Cd  0.000  0.500  0.250
Ag  0.000  0.000  0.000
Ge  0.000  0.000  0.500
Se  0.242  0.242  0.381



CsLaTb4S8: calculated PXRD pattern (Cu Kα X-rays), based on a DFT-relaxed cell (GGA-PBE, Alexandria).
Intensities are scaled so that the largest is 100.

Peak list (10 most intense, 2θ from 5° to 70°, in order of rising 2θ)
d [Å]	I (rel.)	h k l
4.276	32	1 0 4
3.660	45	0 1 5
3.591	100	1 1 3
3.558	52	0 2 1
2.984	41	0 2 4
2.322	28	0 2 7
2.295	35	1 2 5
2.278	31	0 3 3
2.138	58	2 0 8
2.083	56	2 2 0

Structure:
Lattice parameters (Å, degrees): 8.3339 8.3339 21.2319 90.00 90.00 120.00
Space group R3m (No. 160, hexagonal axes)
Unique sites:
Cs  0.0000  0.0000  0.0000
La  0.0000  0.0000  0.3631
Tb  0.0000  0.0000  0.7425
Tb  0.0105  0.5053  0.8697
S  0.0000  0.0000  0.1419
S  0.0000  0.0000  0.6119
S  0.0132  0.5066  0.1221
S  0.1918  0.3836  0.9399



La3Pr4Sm: calculated PXRD pattern (Cu Kα X-rays), based on a DFT-relaxed cell (GGA-PBE, Alexandria).
Intensities are scaled so that the largest is 100.

Peak list (10 most intense, 2θ from 5° to 70°, in order of rising 2θ)
d [Å]	I (rel.)	h k l
3.030	100	2 2 0
2.635	17	4 0 0
2.618	34	0 2 2
1.857	24	4 2 2
1.854	6	0 0 4
1.849	6	0 4 0
1.587	15	6 2 0
1.580	29	2 4 2
1.516	6	4 0 4
1.514	6	4 4 0

Structure:
Lattice parameters (Å, degrees): 10.540 7.396 7.414 90.00 90.00 90.00
Space group Pmn2_1 (No. 31)
Unique sites:
La  0.000  0.249  0.000
La  0.250  0.500  0.249
Pr  0.000  0.249  0.500
Pr  0.000  0.750  0.498
Pr  0.250  0.000  0.249
Sm  0.000  0.750  0.998



Fe2Pt2Rh7: calculated PXRD pattern (Cu Kα X-rays), based on a DFT-relaxed cell (GGA-PBE, Alexandria).
Intensities are scaled so that the largest is 100.

Peak list (10 most intense, 2θ from 5° to 70°, in order of rising 2θ)
d [Å]	I (rel.)	h k l
5.643	4	0 1 0
3.393	3	0 1 1
2.218	100	-2 1 1
1.927	16	1 0 -3
1.923	16	1 -3 1
1.912	16	2 1 0
1.362	5	0 3 -4
1.360	5	-2 3 2
1.357	10	3 1 -3
1.356	10	3 -2 1

Structure:
Lattice parameters (Å, degrees): 4.694 6.077 6.095 107.53 105.11 97.54
Space group P-1 (No. 2)
Unique sites:
Fe  0.045  0.406  0.189
Pt  0.309  0.851  0.262
Rh  0.133  0.231  0.544
Rh  0.227  0.043  0.909
Rh  0.408  0.677  0.633
Rh  0.500  0.500  0.000



Pm8Pr3In: calculated PXRD pattern (Cu Kα X-rays), based on a DFT-relaxed cell (GGA-PBE, Alexandria).
Intensities are scaled so that the largest is 100.

Peak list (10 most intense, 2θ from 5° to 70°, in order of rising 2θ)
d [Å]	I (rel.)	h k l
3.719	70	2 1 1
3.494	63	2 0 2
3.106	81	2 2 0
2.882	75	0 0 4
2.747	32	2 1 3
2.734	28	2 2 2
2.503	100	3 1 2
2.113	54	2 2 4
2.052	52	4 0 2
1.367	31	4 4 4

Structure:
Lattice parameters (Å, degrees): 8.786 8.786 11.528 90.00 90.00 90.00
Space group I-42m (No. 121)
Unique sites:
Pm  0.126  0.126  0.250
Pm  0.249  0.249  0.991
Pr  0.000  0.000  0.000
Pr  0.000  0.500  0.250
In  0.000  0.000  0.500



SmZr3Te6: calculated PXRD pattern (Cu Kα X-rays), based on a DFT-relaxed cell (GGA-PBE, Alexandria).
Intensities are scaled so that the largest is 100.

Peak list (10 most intense, 2θ from 5° to 70°, in order of rising 2θ)
d [Å]	I (rel.)	h k l
3.347	39	0 1 2
3.063	82	2 0 -4
3.031	100	2 1 1
2.910	35	1 1 -3
2.829	33	0 1 3
2.763	97	4 0 -3
2.605	31	1 1 3
2.446	36	2 1 -4
2.285	59	4 1 -3
2.030	55	0 2 0

Structure:
Lattice parameters (Å, degrees): 11.959 4.060 12.522 90.00 109.07 90.00
Space group P2_1/m (No. 11)
Unique sites:
Sm  0.052  0.250  0.201
Zr  0.120  0.250  0.570
Zr  0.320  0.750  0.987
Zr  0.444  0.250  0.368
Te  0.110  0.750  0.403
Te  0.126  0.250  0.972
Te  0.192  0.750  0.746
Te  0.278  0.750  0.219
Te  0.376  0.250  0.572
Te  0.486  0.250  0.124



NdCdNi: calculated PXRD pattern (Cu Kα X-rays), based on a DFT-relaxed cell (GGA-PBE, Alexandria).
Intensities are scaled so that the largest is 100.

Peak list (10 most intense, 2θ from 5° to 70°, in order of rising 2θ)
d [Å]	I (rel.)	h k l
2.751	34	0 1 2
2.730	100	3 1 1
2.691	35	1 1 2
2.533	52	2 1 2
2.510	41	4 1 0
2.490	18	1 0 3
2.464	23	4 0 2
2.449	17	5 0 1
2.187	16	3 0 3
1.991	34	0 2 0

Structure:
Lattice parameters (Å, degrees): 12.932 3.982 7.613 90.00 90.00 90.00
Space group Pmma (No. 51)
Unique sites:
Nd  0.044  0.000  0.234
Nd  0.250  0.000  0.855
Cd  0.126  0.500  0.569
Cd  0.250  0.500  0.199
Ni  0.089  0.500  0.943
Ni  0.250  0.000  0.439